Starting from a PBE-relaxed structure, the powder diffraction line list of K3Na3VI8 was calculated for λ = 1.5418 Å (Cu Kα).
Peak positions follow from Bragg's law for the DFT cell and can differ from measured ones.

Peak list (6 most intense, 2θ from 10° to 90°, by angle)
- 11.50°, rel. 201
- 23.13°, rel. 508
- 26.41°, rel. 1000
- 36.92°, rel. 282
- 38.46°, rel. 362
- 47.27°, rel. 159

Cell and atoms:
```
data_K3Na3VI8
_chemical_formula_sum 'K6 Na6 V2 I16'
_cell_length_a 16.221
_cell_length_b 9.357
_cell_length_c 9.757
_cell_angle_alpha 90.00
_cell_angle_beta 123.69
_cell_angle_gamma 90.00
_space_group_name_H-M_alt 'C 1 2/m 1'
_space_group_IT_number 12
loop_
_space_group_symop_operation_xyz
'x,y,z'
'-x,-y,-z'
'-x,y,-z'
'x,-y,z'
'x+1/2,y+1/2,z'
'-x+1/2,-y+1/2,-z'
'-x+1/2,y+1/2,-z'
'x+1/2,-y+1/2,z'
loop_
_atom_site_label
_atom_site_type_symbol
_atom_site_fract_x
_atom_site_fract_y
_atom_site_fract_z
_atom_site_occupancy
K1 K 0.000 0.000 0.000 1
K2 K 0.250 0.250 0.000 1
Na1 Na 0.000 0.500 0.500 1
Na2 Na 0.250 0.250 0.500 1
V1 V 0.000 0.000 0.500 1
I1 I 0.007 0.223 0.299 1
I2 I 0.216 0.000 0.701 1
I3 I 0.241 0.500 0.724 1
```